(1)
Starting from a PBE-relaxed structure, the PXRD pattern of K3NdP2O8 was computed for Cu Kα (weighted mean of Kα1 and Kα2).

Structural model:
```
28
Lattice="7.374 0.000 0.000 0.000 5.630 0.000 -0.073 0.000 9.515" Properties=species:S:1:pos:R:3 pbc="T T T"
K 0.032 1.408 1.821
K 0.974 4.223 3.879
K 2.156 1.408 8.740
K 5.146 4.223 0.775
K 6.327 1.408 5.636
K 7.270 4.223 7.694
Nd 3.601 4.223 6.727
Nd 3.700 1.408 2.788
P 1.923 4.223 0.819
P 2.181 1.408 5.483
P 5.121 4.223 4.032
P 5.379 1.408 8.696
O 0.393 4.223 0.933
O 1.518 1.408 4.070
O 1.753 0.137 6.267
O 1.753 2.678 6.267
O 2.319 4.223 8.852
O 2.497 2.960 1.532
O 2.497 5.485 1.532
O 3.580 4.223 4.242
O 3.722 1.408 5.273
O 4.805 0.145 7.983
O 4.805 2.670 7.983
O 4.982 1.408 0.663
O 5.549 2.952 3.248
O 5.549 5.493 3.248
O 5.783 4.223 5.445
O 6.909 1.408 8.582
```

Most intense lines, 10° ≤ 2θ ≤ 90°, low angle first:
d [Å], I/Imax
7.374, 77
4.045, 63
2.940, 36
2.927, 100
2.815, 57
2.763, 66

---

(2)
Starting from a PBE-relaxed structure, the PXRD pattern of K2NdP5O15 was computed for Cu Kα (weighted mean of Kα1 and Kα2).

Structural model:
```
46
Lattice="4.176 -5.750 0.000 4.176 5.750 0.000 -0.150 0.000 13.197" Properties=species:S:1:pos:R:3 pbc="T T T"
K 2.709 3.505 2.605
K 4.101 4.339 6.599
K 2.634 -3.505 9.204
K 4.176 -4.339 0.000
Nd 2.590 1.104 9.173
Nd 2.665 -1.104 2.575
P 3.960 4.590 10.127
P 3.154 1.276 12.859
P 5.140 3.502 12.542
P 3.229 -1.276 6.261
P 5.306 1.444 3.767
P 5.258 0.869 6.647
P 5.333 -0.869 0.049
P 5.231 -1.444 10.365
P 4.035 -4.590 3.529
P 5.215 -3.502 5.943
O 1.483 1.550 7.181
O 0.578 0.108 2.745
O 0.503 -0.108 9.344
O 4.499 4.691 11.626
O 2.301 1.158 11.629
O 3.950 3.169 9.654
O 3.771 2.746 12.933
O 2.674 1.018 1.000
O 1.558 -1.550 0.582
O 2.376 -1.158 5.030
O 4.365 1.592 7.615
O 5.347 2.741 3.019
O 2.599 -1.018 7.598
O 4.227 0.477 3.411
O 5.258 1.829 5.328
O 6.104 2.665 11.776
O 4.491 0.433 12.653
O 4.152 -0.477 10.009
O 4.566 -0.433 6.054
O 4.440 -1.592 1.017
O 3.846 -2.746 6.334
O 6.690 0.610 3.646
O 6.631 0.531 7.086
O 4.025 -3.169 3.055
O 5.183 -1.829 11.927
O 6.706 -0.531 0.488
O 6.615 -0.610 10.245
O 5.272 -2.741 9.617
O 4.574 -4.691 5.027
O 6.179 -2.665 5.177
```

Most intense lines, 10° ≤ 2θ ≤ 90°, low angle first:
d [Å], I/Imax
6.758, 43
6.038, 36
3.494, 45
3.365, 69
3.299, 46
3.281, 100

---

(3)
Starting from a PBE-relaxed structure, the PXRD pattern of KNdTa2O7 was computed for Cu Kα (weighted mean of Kα1 and Kα2).

Structural model:
```
22
Lattice="-3.868 10.563 1.952 3.868 -10.563 1.952 3.868 10.563 -1.952" Properties=species:S:1:pos:R:3 pbc="T T T"
K 0.000 5.133 0.000
K 0.000 15.992 0.000
Nd 0.000 0.000 0.016
Nd 0.000 10.563 1.947
Ta 1.957 8.332 0.010
Ta 1.911 -2.231 1.962
Ta 1.957 12.793 0.010
Ta 1.911 2.231 1.962
O 1.886 1.765 0.012
O 5.850 1.765 0.012
O 2.323 6.578 0.000
O 1.546 -3.985 1.952
O 0.000 8.260 0.031
O 3.868 9.059 0.018
O 1.534 10.563 0.007
O 2.334 0.000 1.959
O 0.000 1.503 1.970
O 0.000 12.865 0.031
O 2.323 14.547 0.000
O 1.546 3.985 1.952
O -1.982 8.797 1.964
O 1.982 8.797 1.964
```

Most intense lines, 10° ≤ 2θ ≤ 90°, low angle first:
d [Å], I/Imax
3.415, 50
3.121, 100
2.867, 70
2.725, 92
1.785, 43
1.655, 32

---

(4)
Starting from a PBE-relaxed structure, the PXRD pattern of K3Nd3P4S16 was computed for Cu Kα (weighted mean of Kα1 and Kα2).

Structural model:
```
52
Lattice="8.148 -5.872 0.000 8.148 5.872 0.000 -0.161 0.000 14.889" Properties=species:S:1:pos:R:3 pbc="T T T"
K 0.000 0.000 0.000
K -0.081 0.000 7.444
K 3.371 2.125 5.026
K 3.290 -2.125 12.471
K 12.846 2.125 2.418
K 12.765 -2.125 9.863
Nd 5.866 1.388 14.702
Nd 8.108 2.914 3.722
Nd 5.947 -1.388 7.258
Nd 10.189 1.388 7.631
Nd 8.028 -2.914 11.167
Nd 10.269 -1.388 0.186
P 2.872 1.726 12.800
P 6.738 2.171 7.093
P 2.953 -1.726 5.356
P 9.479 2.171 0.351
P 6.657 -2.171 14.537
P 13.183 1.726 9.533
P 9.398 -2.171 7.796
P 13.264 -1.726 2.089
S 1.381 0.591 11.990
S 2.863 1.554 14.852
S 6.283 3.720 5.857
S 1.462 -0.591 4.545
S 5.512 2.156 2.565
S 4.708 1.207 12.081
S 5.055 1.262 7.808
S 7.908 2.794 8.660
S 8.148 2.794 13.673
S 9.933 3.720 1.588
S 2.944 -1.554 7.408
S 4.789 -1.207 4.637
S 7.763 0.769 5.920
S 5.135 -1.262 0.363
S 8.453 0.769 1.524
S 10.705 2.156 4.880
S 5.431 -2.156 10.009
S 7.683 -0.769 13.365
S 11.001 1.262 14.525
S 8.373 -0.769 8.968
S 11.347 1.207 10.252
S 13.192 1.554 7.481
S 6.203 -3.720 13.301
S 7.988 -2.794 1.216
S 8.228 -2.794 6.228
S 11.081 -1.262 7.081
S 11.427 -1.207 2.808
S 10.624 -2.156 12.324
S 14.674 0.591 10.344
S 9.853 -3.720 9.032
S 13.272 -1.554 0.037
S 14.755 -0.591 2.899
```

Most intense lines, 10° ≤ 2θ ≤ 90°, low angle first:
d [Å], I/Imax
8.046, 100
7.444, 30
5.880, 55
4.541, 19
3.558, 21
2.345, 18

---

- Number 4 is which compound?
  K3Nd3P4S16